Mg5Si9: simulated X-ray powder pattern (copper Kα), based on a PBE-relaxed structure.
Neutral-atom scattering factors, no anomalous dispersion.

The 10 most intense peaks (10° ≤ 2θ ≤ 90°), low angle first:
2θ/deg  d/Å  Rel. int.
31.03  2.882  64
32.76  2.734  83
33.74  2.657  100
34.55  2.596  60
34.96  2.567  62
35.18  2.551  54
35.91  2.501  49
36.00  2.495  60
37.63  2.390  93
38.39  2.345  65

Crystal structure
```
data_Mg5Si9
_chemical_formula_sum 'Mg10 Si18'
_space_group_name_H-M_alt 'P 1'
_space_group_IT_number 1
_cell_length_a 6.4411
_cell_length_b 7.4995
_cell_length_c 12.3759
_cell_angle_alpha 88.23
_cell_angle_beta 81.52
_cell_angle_gamma 65.06
loop_
_space_group_symop_operation_xyz
'x,y,z'
loop_
_atom_site_label
_atom_site_type_symbol
_atom_site_fract_x
_atom_site_fract_y
_atom_site_fract_z
Mg1 Mg 0.0000 0.0000 0.0000
Mg2 Mg 0.0032 0.7770 0.7732
Mg3 Mg 0.2533 0.9337 0.3375
Mg4 Mg 0.2820 0.2127 0.4988
Mg5 Mg 0.4498 0.7926 0.8155
Mg6 Mg 0.5975 0.2283 0.8662
Mg7 Mg 0.7342 0.2977 0.4811
Mg8 Mg 0.8495 0.4855 0.6665
Mg9 Mg 0.9475 0.2802 0.2050
Mg10 Mg 0.9658 0.4337 0.9224
Si1 Si 0.0275 0.0005 0.5813
Si2 Si 0.0707 0.1214 0.7578
Si3 Si 0.2148 0.4359 0.2890
Si4 Si 0.2380 0.5913 0.9848
Si5 Si 0.2463 0.6636 0.5105
Si6 Si 0.3753 0.9801 0.0910
Si7 Si 0.3924 0.2039 0.7025
Si8 Si 0.4120 0.5119 0.6694
Si9 Si 0.5006 0.5333 0.3346
Si10 Si 0.5232 0.1724 0.1780
Si11 Si 0.6070 0.4007 0.0570
Si12 Si 0.6102 0.6645 0.1632
Si13 Si 0.6532 0.8754 0.4212
Si14 Si 0.6980 0.9216 0.6093
Si15 Si 0.6996 0.8550 0.9522
Si16 Si 0.8479 0.9642 0.2655
Si17 Si 0.9570 0.5670 0.4569
Si18 Si 0.9913 0.6587 0.1585
```